1.
Mn3NiO8: theoretical XRD peak list (Cu Kα (λ = 1.5418 Å)), based on a structure optimized by DFT (PBE+U).
Peak positions follow from Bragg's law for the DFT cell and can differ from measured ones.

Largest 8 diffraction maxima, low angle first, 15 to 90 degrees two-theta:
2theta	intensity
18.8	100
36.5	35
38.2	10
44.3	49
48.6	10
58.7	16
64.5	25
67.9	13

Crystal structure
a b c (Å): 8.171 8.171 8.171
angles (deg): 90.00 90.00 90.00
Fractional coordinates of all 48 atoms:
Mn: 0.121 0.375 0.371
Mn: 0.125 0.629 0.621
Mn: 0.129 0.879 0.875
Mn: 0.371 0.121 0.375
Mn: 0.375 0.371 0.121
Mn: 0.379 0.625 0.871
Mn: 0.621 0.125 0.629
Mn: 0.625 0.871 0.379
Mn: 0.629 0.621 0.125
Mn: 0.871 0.379 0.625
Mn: 0.875 0.129 0.879
Mn: 0.879 0.875 0.129
Ni: 0.125 0.125 0.125
Ni: 0.375 0.875 0.625
Ni: 0.625 0.375 0.875
Ni: 0.875 0.625 0.375
O: 0.107 0.612 0.385
O: 0.109 0.391 0.609
O: 0.112 0.115 0.893
O: 0.115 0.893 0.112
O: 0.135 0.138 0.357
O: 0.138 0.357 0.135
O: 0.141 0.641 0.859
O: 0.143 0.865 0.638
O: 0.357 0.135 0.138
O: 0.359 0.359 0.359
O: 0.362 0.643 0.635
O: 0.365 0.862 0.857
O: 0.385 0.107 0.612
O: 0.388 0.885 0.393
O: 0.391 0.609 0.109
O: 0.393 0.388 0.885
O: 0.607 0.888 0.615
O: 0.609 0.109 0.391
O: 0.612 0.385 0.107
O: 0.615 0.607 0.888
O: 0.635 0.362 0.643
O: 0.638 0.143 0.865
O: 0.641 0.859 0.141
O: 0.643 0.635 0.362
O: 0.857 0.365 0.862
O: 0.859 0.141 0.641
O: 0.862 0.857 0.365
O: 0.865 0.638 0.143
O: 0.885 0.393 0.388
O: 0.888 0.615 0.607
O: 0.891 0.891 0.891
O: 0.893 0.112 0.115


2.
Mn4NiO8: theoretical XRD peak list (Cu Kα (λ = 1.5418 Å)), based on a structure optimized by DFT (PBE+U).
Peak positions follow from Bragg's law for the DFT cell and can differ from measured ones.

Largest 8 diffraction maxima, low angle first, 15 to 90 degrees two-theta:
2theta	intensity
17.7	100
18.3	27
35.9	31
37.2	17
41.5	35
43.4	65
60.9	18
62.4	18

Crystal structure
a b c (Å): 5.960 5.960 5.984
angles (deg): 118.60 118.60 58.47
Fractional coordinates of all 13 atoms:
Mn: 0.000 0.000 0.000
Mn: 0.000 0.500 0.000
Mn: 0.500 0.000 0.000
Mn: 0.500 0.500 0.500
Ni: 0.500 0.500 0.000
O: 0.218 0.726 0.205
O: 0.256 0.256 0.222
O: 0.269 0.269 0.807
O: 0.274 0.782 0.795
O: 0.726 0.218 0.205
O: 0.731 0.731 0.193
O: 0.744 0.744 0.778
O: 0.782 0.274 0.795


3.
MnNi7O8: theoretical XRD peak list (Cu Kα (λ = 1.5418 Å)), based on a structure optimized by DFT (PBE+U).
Peak positions follow from Bragg's law for the DFT cell and can differ from measured ones.

Largest 5 diffraction maxima, low angle first, 15 to 90 degrees two-theta:
2theta	intensity
36.5	74
42.4	100
61.6	58
73.7	28
77.6	18

Crystal structure
a b c (Å): 6.027 6.027 6.027
angles (deg): 60.00 60.00 60.00
Fractional coordinates of all 16 atoms:
Mn: 0.000 0.000 0.000
Ni: 0.000 0.000 0.500
Ni: 0.000 0.500 0.000
Ni: 0.000 0.500 0.500
Ni: 0.500 0.000 0.000
Ni: 0.500 0.000 0.500
Ni: 0.500 0.500 0.000
Ni: 0.500 0.500 0.500
O: 0.250 0.250 0.250
O: 0.255 0.255 0.745
O: 0.255 0.745 0.255
O: 0.255 0.745 0.745
O: 0.745 0.255 0.255
O: 0.745 0.255 0.745
O: 0.745 0.745 0.255
O: 0.750 0.750 0.750